The following is a theoretical XRD peak list of Hf2InH. It was derived from a GGA-PBE-relaxed structure, using Cu Kα, 1.54184 Å.
Neutral-atom scattering factors, no anomalous dispersion.

```
Hf2InH
1.0
2.614 -4.909 0.000
2.614 4.909 0.000
0.000 0.000 5.245
Hf In H
4 2 2
Direct
0.153 0.324 0.000
0.324 0.153 0.500
0.676 0.847 0.500
0.847 0.676 0.000
0.000 0.500 0.500
0.500 0.000 0.000
0.500 0.500 0.250
0.500 0.500 0.750
```

The 10 most intense peaks (2θ = 5–70°), by intensity:
2θ/deg  Rel. int.
36.65  100
34.19  30
34.31  29
49.22  21
62.83  21
62.98  20
67.50  17
56.21  8
25.71  4
18.07  2